Sr3MnCu2O9: computed powder diffractogram (Cu Ka), based on the GGA+U geometry in Alexandria.

Most intense lines, 15° ≤ 2θ ≤ 90°, in order of falling intensity:
Position (°2θ)	d (Å)	I/Imax	h k l
32.53	2.753	100	1 1 0
46.66	1.946	38	2 0 2
58.01	1.590	28	3 0 0
68.13	1.376	22	2 2 0
77.54	1.231	16	3 1 2
40.12	2.248	10	0 2 1
58.10	1.588	9	1 0 4
86.58	1.124	5	0 4 2
82.08	1.174	2	4 0 1
86.76	1.122	2	0 0 6
82.19	1.173	1	2 0 5

```
data_Sr3MnCu2O9
_cell_length_a 5.5089
_cell_length_b 5.5089
_cell_length_c 6.7346
_cell_angle_alpha 90.00
_cell_angle_beta 90.00
_cell_angle_gamma 120.00
_space_group_name_H-M_alt 'P -3 m 1'
_space_group_IT_number 164
_space_group_name_Hall '-P 3 2"'
loop_
_atom_site_label
_atom_site_type_symbol
_atom_site_fract_x
_atom_site_fract_y
_atom_site_fract_z
_atom_site_occupancy
Sr1 Sr 0.0000 0.0000 0.0000 1
Sr2 Sr 0.3333 0.6667 0.6695 1
Mn1 Mn 0.0000 0.0000 0.5000 1
Cu1 Cu 0.3333 0.6667 0.1646 1
O1 O 0.0000 0.5000 0.0000 1
O2 O 0.1649 0.3298 0.3368 1
```